Calculated X-ray diffraction stick pattern of AcNpCuS4 for Cu Kα X-rays, from a cell relaxed with PBE.

```
AcNpCuS4
1.0
6.3915 0.0000 0.0000
0.0000 6.3035 0.0000
-2.4584 0.0000 7.6893
Ac Np Cu S
2 2 2 8
direct
0.2481 0.2500 0.0598 Ac
0.7519 0.7500 0.9402 Ac
0.2293 0.2500 0.5554 Np
0.7707 0.7500 0.4446 Np
0.2347 0.7500 0.3218 Cu
0.7653 0.2500 0.6782 Cu
0.0215 0.5130 0.7305 S
0.0215 0.9870 0.7305 S
0.4288 0.7500 0.1293 S
0.4492 0.7500 0.5973 S
0.5508 0.2500 0.4027 S
0.5712 0.2500 0.8707 S
0.9785 0.0130 0.2695 S
0.9785 0.4870 0.2695 S
```

Main lines, sorted by position (10° ≤ 2θ ≤ 80°):
Position (°2θ)	Rel. int.
20.28	1000
27.17	328
27.31	337
28.32	498
34.24	478
34.59	459
41.23	376
53.99	302